Structure and theoretical PXRD pattern of BaGaICl4 (DFT lattice parameters and positions (PBE); CuKα).
No peak broadening, texture or thermal motion is included.

Largest 6 diffraction maxima, in order of rising 2θ, 2θ from 15° to 90°:
| Position (°2θ) | d_spacing | I_rel |
| --- | --- | --- |
| 17.85 | 4.970 | 100.0 |
| 23.37 | 3.806 | 27.6 |
| 27.67 | 3.224 | 39.2 |
| 27.93 | 3.195 | 29.9 |
| 36.15 | 2.485 | 21.9 |
| 43.65 | 2.074 | 22.5 |

Cell and atoms:
abc: 8.078 8.078 8.849
angles: 100.77 100.77 75.94
Atoms (fractional coordinates):
Ba 0.205 0.205 0.119
Ba 0.795 0.795 0.881
Ga 0.365 0.365 0.738
Ga 0.635 0.635 0.262
I 0.029 0.029 0.770
I 0.971 0.971 0.230
Cl 0.163 0.507 0.886
Cl 0.250 0.250 0.513
Cl 0.468 0.468 0.285
Cl 0.493 0.837 0.114
Cl 0.507 0.163 0.886
Cl 0.532 0.532 0.715
Cl 0.750 0.750 0.487
Cl 0.837 0.493 0.114